Calculated X-ray diffraction stick pattern
Compound: La3Th4Te8
Radiation: a wavelength of 1.5418 Å
Structure: a structure optimized by DFT (PBE)

Cell lengths 8.9795, 8.9795, 8.9316 Å; angles 119.75, 119.75, 90.05 degrees
Element x y z (fractional)
La: 0.0000 0.0000 0.0000
La: 0.0000 0.5000 0.0000
La: 0.5000 0.0000 0.0000
Th: 0.0000 0.5000 0.5000
Th: 0.5000 0.0000 0.5000
Th: 0.5000 0.5000 0.0000
Th: 0.5000 0.5000 0.5000
Te: 0.2433 0.2433 0.5034
Te: 0.2429 0.7571 0.5000
Te: 0.2463 0.2463 0.9884
Te: 0.2511 0.7489 0.0000
Te: 0.7489 0.2511 0.0000
Te: 0.7537 0.7537 0.0116
Te: 0.7571 0.2429 0.5000
Te: 0.7567 0.7567 0.4966

Peak list (10 most intense, 10 to 90 degrees two-theta, in order of rising 2θ)
| d (Å) | 2θ (°) | intensity |
| --- | --- | --- |
| 3.176 | 28.09 | 100.0 |
| 2.260 | 39.89 | 13.1 |
| 2.246 | 40.15 | 51.3 |
| 2.233 | 40.39 | 12.5 |
| 1.841 | 49.50 | 14.1 |
| 1.827 | 49.93 | 13.6 |
| 1.589 | 58.04 | 8.7 |
| 1.421 | 65.72 | 17.9 |
| 1.302 | 72.61 | 8.9 |
| 1.292 | 73.29 | 8.6 |